For Fe3P2PbO14, a DFT-relaxed cell (PBE+U, the Materials Project) gives the calculated powder X-ray diffraction pattern in this record (Cu Kα (λ = 1.5418 Å)).
Lines closer than 0.1° are merged.

Cell and atoms:
Lattice parameters (Å, degrees): 5.3592 6.9584 7.1522 89.74 88.64 69.20
Space group P-1 (No. 2)
Symmetry-distinct sites (fractional):
Fe (0.0000, 0.0000, 0.0000) x1
Fe (0.0000, 0.0000, 0.5000) x1
Fe (0.0000, 0.5000, 0.0000) x1
P (0.4147, 0.6584, 0.2352) x2
Pb (0.0000, 0.5000, 0.5000) x1
O (0.1130, 0.2202, 0.0332) x2
O (0.1235, 0.9730, 0.7486) x2
O (0.1864, 0.1883, 0.4620) x2
O (0.2523, 0.5105, 0.2050) x2
O (0.2771, 0.4643, 0.7737) x2
O (0.3354, 0.7451, 0.4337) x2
O (0.3571, 0.8178, 0.0758) x2

Principal peaks in the range 2θ = 10–90°, in order of rising 2θ:
Position (°2θ)	I (rel.)
13.61	47
17.71	100
24.91	40
26.87	49
30.37	40
31.08	41